1.
For LiCaRu, DFT lattice parameters and positions (PBE) gives the computed powder X-ray diffraction pattern in this record (λ = 1.5418 Å (Cu Kα)).
No peak broadening, texture or thermal motion is included.

Structural model:
abc: 4.3469 4.6872 6.3995
angles: 90.00 90.09 90.00
Positions (direct):
Li: 0.0000 0.0000 0.0000
Li: 0.5001 0.0000 0.1914
Ca: 0.4984 0.0000 0.6968
Ca: 0.9985 0.5000 0.3496
Ru: 0.4966 0.5000 0.0006
Ru: 0.9963 0.5000 0.8444

Most intense lines, 10° ≤ 2θ ≤ 90°, in order of rising 2θ:
two_theta	I (rel.)
13.84	100
18.93	78
23.53	50
31.35	35
33.92	32
34.81	35
38.41	30
39.92	59
41.55	24
52.80	20


2.
For LiCaSbSe3, DFT lattice parameters and positions (PBE) gives the computed powder X-ray diffraction pattern in this record (λ = 1.5418 Å (Cu Kα)).
No peak broadening, texture or thermal motion is included.

Structural model:
abc: 8.7387 4.0888 8.7821
angles: 90.00 102.24 90.00
Positions (direct):
Li: 0.0867 0.2500 0.0914
Li: 0.9133 0.7500 0.9086
Ca: 0.1980 0.2500 0.7452
Ca: 0.8020 0.7500 0.2548
Sb: 0.3267 0.7500 0.3468
Sb: 0.6733 0.2500 0.6532
Se: 0.1090 0.2500 0.3884
Se: 0.2096 0.7500 0.9950
Se: 0.4307 0.7500 0.6696
Se: 0.5693 0.2500 0.3304
Se: 0.7904 0.2500 0.0050
Se: 0.8910 0.7500 0.6116

Most intense lines, 10° ≤ 2θ ≤ 90°, in order of rising 2θ:
two_theta	I (rel.)
10.31	47
12.98	30
25.13	33
30.26	51
30.53	100
31.27	45
38.00	39
39.50	28
44.31	27
47.41	36


3.
For LiCaSc4, DFT lattice parameters and positions (PBE) gives the computed powder X-ray diffraction pattern in this record (λ = 1.5418 Å (Cu Kα)).
No peak broadening, texture or thermal motion is included.

Structural model:
abc: 6.2195 6.2195 6.2195
angles: 60.00 60.00 60.00
Positions (direct):
Li: 0.0000 0.0000 0.0000
Ca: 0.2500 0.2500 0.2500
Sc: 0.1255 0.6248 0.6248
Sc: 0.6248 0.1255 0.6248
Sc: 0.6248 0.6248 0.1255
Sc: 0.6248 0.6248 0.6248

Most intense lines, 10° ≤ 2θ ≤ 90°, in order of rising 2θ:
two_theta	I (rel.)
17.46	46
28.71	11
33.80	100
35.35	62
41.05	15
44.92	10
54.18	30
59.45	27
71.10	20
84.63	17